(1)
# Fe3H4O2F8
Theoretical XRD peak list, Cu Kα (λ = 1.5418 Å). Input: the GGA+U geometry in Alexandria.
No peak broadening, texture or thermal motion is included.

Crystal structure
```
data_Fe3H4O2F8
_chemical_formula_sum 'Fe3 H4 O2 F8'
_cell_length_a 5.369
_cell_length_b 5.369
_cell_length_c 7.456
_cell_angle_alpha 108.40
_cell_angle_beta 108.40
_cell_angle_gamma 89.06
_space_group_name_H-M_alt 'P 1'
_space_group_IT_number 1
loop_
_space_group_symop_operation_xyz
'x,y,z'
loop_
_atom_site_label
_atom_site_fract_x
_atom_site_fract_y
_atom_site_fract_z
Fe1 0.000 0.000 0.000
Fe2 0.000 0.500 0.500
Fe3 0.500 0.000 0.500
H1 0.180 0.390 0.889
H2 0.390 0.180 0.889
H3 0.610 0.820 0.111
H4 0.820 0.610 0.111
O1 0.244 0.244 0.939
O2 0.756 0.756 0.061
F1 0.065 0.654 0.787
F2 0.195 0.805 0.500
F3 0.326 0.326 0.559
F4 0.346 0.935 0.213
F5 0.654 0.065 0.787
F6 0.674 0.674 0.441
F7 0.805 0.195 0.500
F8 0.935 0.346 0.213
```

Most intense lines, 15° ≤ 2θ ≤ 90°, in order of falling intensity:
2θ/deg  I_rel
27.18  100
23.32  90
26.67  68
17.48  40
47.40  33
54.72  25
47.67  25
38.45  24

---

(2)
# FeSnH12O6F6
Theoretical XRD peak list, Cu Kα (λ = 1.5418 Å). Input: the GGA+U geometry in Alexandria.
No peak broadening, texture or thermal motion is included.

Crystal structure
```
data_FeSnH12O6F6
_chemical_formula_sum 'Fe1 Sn1 H12 O6 F6'
_cell_length_a 6.681
_cell_length_b 6.681
_cell_length_c 6.681
_cell_angle_alpha 96.57
_cell_angle_beta 96.57
_cell_angle_gamma 96.57
_space_group_name_H-M_alt 'P 1'
_space_group_IT_number 1
loop_
_space_group_symop_operation_xyz
'x,y,z'
loop_
_atom_site_label
_atom_site_fract_x
_atom_site_fract_y
_atom_site_fract_z
Fe1 0.000 0.000 0.000
Sn1 0.500 0.500 0.500
H1 0.041 0.205 0.394
H2 0.173 0.312 0.805
H3 0.195 0.827 0.688
H4 0.205 0.394 0.041
H5 0.312 0.805 0.173
H6 0.394 0.041 0.205
H7 0.606 0.959 0.795
H8 0.688 0.195 0.827
H9 0.795 0.606 0.959
H10 0.805 0.173 0.312
H11 0.827 0.688 0.195
H12 0.959 0.795 0.606
O1 0.064 0.875 0.708
O2 0.125 0.292 0.936
O3 0.292 0.936 0.125
O4 0.708 0.064 0.875
O5 0.875 0.708 0.064
O6 0.936 0.125 0.292
F1 0.240 0.353 0.564
F2 0.353 0.564 0.240
F3 0.436 0.760 0.647
F4 0.564 0.240 0.353
F5 0.647 0.436 0.760
F6 0.760 0.647 0.436
```

Most intense lines, 15° ≤ 2θ ≤ 90°, in order of falling intensity:
2θ/deg  I_rel
17.79  100
20.28  66
32.60  42
45.21  32
28.72  18
27.10  17
48.29  16
52.50  16

---

(3)
# HfFe2F11
Theoretical XRD peak list, Cu Kα (λ = 1.5418 Å). Input: the GGA+U geometry in Alexandria.
No peak broadening, texture or thermal motion is included.

Crystal structure
```
data_HfFe2F11
_chemical_formula_sum 'Hf2 Fe4 F22'
_cell_length_a 7.890
_cell_length_b 7.890
_cell_length_c 7.890
_cell_angle_alpha 123.09
_cell_angle_beta 105.86
_cell_angle_gamma 100.41
_space_group_name_H-M_alt 'P 1'
_space_group_IT_number 1
loop_
_space_group_symop_operation_xyz
'x,y,z'
loop_
_atom_site_label
_atom_site_fract_x
_atom_site_fract_y
_atom_site_fract_z
Hf1 0.250 0.250 0.000
Hf2 0.750 0.750 0.000
Fe1 0.194 0.662 0.856
Fe2 0.306 0.162 0.467
Fe3 0.694 0.838 0.533
Fe4 0.806 0.338 0.144
F1 0.000 0.500 0.500
F2 0.027 0.962 0.273
F3 0.055 0.350 0.137
F4 0.189 0.462 0.935
F5 0.198 0.393 0.591
F6 0.213 0.918 0.863
F7 0.287 0.150 0.706
F8 0.302 0.893 0.195
F9 0.311 0.246 0.273
F10 0.445 0.582 0.294
F11 0.473 0.746 0.935
F12 0.500 0.000 0.500
F13 0.527 0.254 0.065
F14 0.555 0.418 0.706
F15 0.689 0.754 0.727
F16 0.698 0.107 0.805
F17 0.713 0.850 0.294
F18 0.787 0.082 0.137
F19 0.802 0.607 0.409
F20 0.811 0.538 0.065
F21 0.945 0.650 0.863
F22 0.973 0.038 0.727
```

Most intense lines, 15° ≤ 2θ ≤ 90°, in order of falling intensity:
2θ/deg  I_rel
23.19  100
15.02  70
25.73  52
52.33  24
52.86  23
49.77  22
47.60  21
47.40  20

---

(4)
# Fe4HgF12
Theoretical XRD peak list, Cu Kα (λ = 1.5418 Å). Input: the GGA+U geometry in Alexandria.
No peak broadening, texture or thermal motion is included.

Crystal structure
```
data_Fe4HgF12
_chemical_formula_sum 'Fe4 Hg1 F12'
_cell_length_a 6.853
_cell_length_b 6.853
_cell_length_c 6.853
_cell_angle_alpha 111.51
_cell_angle_beta 108.51
_cell_angle_gamma 108.41
_space_group_name_H-M_alt 'P 1'
_space_group_IT_number 1
loop_
_space_group_symop_operation_xyz
'x,y,z'
loop_
_atom_site_label
_atom_site_fract_x
_atom_site_fract_y
_atom_site_fract_z
Fe1 0.000 0.000 0.500
Fe2 0.000 0.500 0.000
Fe3 0.500 0.000 0.000
Fe4 0.500 0.500 0.500
Hg1 0.000 0.000 0.000
F1 0.001 0.712 0.288
F2 0.242 0.198 0.440
F3 0.242 0.802 0.044
F4 0.243 0.045 0.802
F5 0.243 0.440 0.198
F6 0.424 0.712 0.712
F7 0.576 0.288 0.288
F8 0.757 0.560 0.802
F9 0.757 0.955 0.198
F10 0.758 0.198 0.956
F11 0.758 0.802 0.560
F12 0.999 0.288 0.712
```

Most intense lines, 15° ≤ 2θ ≤ 90°, in order of falling intensity:
2θ/deg  I_rel
15.95  100
32.22  58
15.64  55
27.45  48
45.28  33
43.32  30
56.66  27
31.59  27

---

(5)
# FeHg3F8
Theoretical XRD peak list, Cu Kα (λ = 1.5418 Å). Input: the GGA+U geometry in Alexandria.
No peak broadening, texture or thermal motion is included.

Crystal structure
```
data_FeHg3F8
_chemical_formula_sum 'Fe1 Hg3 F8'
_cell_length_a 5.527
_cell_length_b 5.527
_cell_length_c 5.527
_cell_angle_alpha 90.00
_cell_angle_beta 90.00
_cell_angle_gamma 90.00
_space_group_name_H-M_alt 'P 1'
_space_group_IT_number 1
loop_
_space_group_symop_operation_xyz
'x,y,z'
loop_
_atom_site_label
_atom_site_fract_x
_atom_site_fract_y
_atom_site_fract_z
Fe1 0.000 0.000 0.000
Hg1 0.000 0.500 0.500
Hg2 0.500 0.000 0.500
Hg3 0.500 0.500 0.000
F1 0.231 0.231 0.231
F2 0.231 0.231 0.769
F3 0.231 0.769 0.231
F4 0.231 0.769 0.769
F5 0.769 0.231 0.231
F6 0.769 0.231 0.769
F7 0.769 0.769 0.231
F8 0.769 0.769 0.769
```

Most intense lines, 15° ≤ 2θ ≤ 90°, in order of falling intensity:
2θ/deg  I_rel
27.96  100
46.47  56
55.11  46
32.40  30
74.89  19
86.20  18
77.18  13
22.75  10

---

(6)
# Li2FeHgF6
Theoretical XRD peak list, Cu Kα (λ = 1.5418 Å). Input: the GGA+U geometry in Alexandria.
No peak broadening, texture or thermal motion is included.

Crystal structure
```
data_Li2FeHgF6
_chemical_formula_sum 'Li2 Fe1 Hg1 F6'
_cell_length_a 6.204
_cell_length_b 6.204
_cell_length_c 6.204
_cell_angle_alpha 60.00
_cell_angle_beta 60.00
_cell_angle_gamma 60.00
_space_group_name_H-M_alt 'P 1'
_space_group_IT_number 1
loop_
_space_group_symop_operation_xyz
'x,y,z'
loop_
_atom_site_label
_atom_site_fract_x
_atom_site_fract_y
_atom_site_fract_z
Li1 0.250 0.250 0.250
Li2 0.750 0.750 0.750
Fe1 0.000 0.000 0.000
Hg1 0.500 0.500 0.500
F1 0.222 0.222 0.778
F2 0.222 0.778 0.222
F3 0.222 0.778 0.778
F4 0.778 0.222 0.222
F5 0.778 0.222 0.778
F6 0.778 0.778 0.222
```

Most intense lines, 15° ≤ 2θ ≤ 90°, in order of falling intensity:
2θ/deg  I_rel
20.24  100
28.78  54
46.28  42
33.89  28
17.51  28
41.15  27
50.99  22
63.63  19

---

(7)
# FeHg2O3F5
Theoretical XRD peak list, Cu Kα (λ = 1.5418 Å). Input: the GGA+U geometry in Alexandria.
No peak broadening, texture or thermal motion is included.

Crystal structure
```
data_FeHg2O3F5
_chemical_formula_sum 'Fe1 Hg2 O3 F5'
_cell_length_a 3.957
_cell_length_b 6.978
_cell_length_c 6.978
_cell_angle_alpha 64.92
_cell_angle_beta 90.00
_cell_angle_gamma 90.00
_space_group_name_H-M_alt 'P 1'
_space_group_IT_number 1
loop_
_space_group_symop_operation_xyz
'x,y,z'
loop_
_atom_site_label
_atom_site_fract_x
_atom_site_fract_y
_atom_site_fract_z
Fe1 0.000 0.000 0.000
Hg1 0.500 0.005 0.502
Hg2 0.500 0.502 0.005
O1 0.000 0.571 0.571
O2 0.500 0.336 0.336
O3 0.500 0.674 0.674
F1 0.000 0.065 0.701
F2 0.000 0.301 0.940
F3 0.000 0.701 0.065
F4 0.000 0.940 0.301
F5 0.500 0.001 0.001
```

Most intense lines, 15° ≤ 2θ ≤ 90°, in order of falling intensity:
2θ/deg  I_rel
27.15  100
28.24  88
15.05  86
45.39  56
36.38  47
32.93  37
38.10  33
23.76  31

---

(8)
# RbFeHgF6
Theoretical XRD peak list, Cu Kα (λ = 1.5418 Å). Input: the GGA+U geometry in Alexandria.
No peak broadening, texture or thermal motion is included.

Crystal structure
```
data_RbFeHgF6
_chemical_formula_sum 'Rb1 Fe1 Hg1 F6'
_cell_length_a 5.801
_cell_length_b 5.801
_cell_length_c 5.764
_cell_angle_alpha 90.03
_cell_angle_beta 90.03
_cell_angle_gamma 119.92
_space_group_name_H-M_alt 'P 1'
_space_group_IT_number 1
loop_
_space_group_symop_operation_xyz
'x,y,z'
loop_
_atom_site_label
_atom_site_fract_x
_atom_site_fract_y
_atom_site_fract_z
Rb1 0.000 0.000 0.000
Fe1 0.667 0.333 0.500
Hg1 0.333 0.667 0.500
F1 0.399 0.343 0.315
F2 0.400 0.056 0.686
F3 0.655 0.055 0.314
F4 0.657 0.601 0.685
F5 0.944 0.600 0.314
F6 0.945 0.345 0.686
```

Most intense lines, 15° ≤ 2θ ≤ 90°, in order of falling intensity:
2θ/deg  I_rel
23.48  100
44.30  44
30.81  36
15.37  35
50.59  27
39.10  26
17.65  19
34.61  18

---

(9)
# K3Fe2F9
Theoretical XRD peak list, Cu Kα (λ = 1.5418 Å). Input: the GGA+U geometry in Alexandria.
No peak broadening, texture or thermal motion is included.

Crystal structure
```
data_K3Fe2F9
_chemical_formula_sum 'K6 Fe4 F18'
_cell_length_a 7.614
_cell_length_b 7.614
_cell_length_c 7.614
_cell_angle_alpha 85.23
_cell_angle_beta 85.23
_cell_angle_gamma 85.23
_space_group_name_H-M_alt 'P 1'
_space_group_IT_number 1
loop_
_space_group_symop_operation_xyz
'x,y,z'
loop_
_atom_site_label
_atom_site_fract_x
_atom_site_fract_y
_atom_site_fract_z
K1 0.091 0.750 0.409
K2 0.250 0.591 0.909
K3 0.409 0.091 0.750
K4 0.591 0.909 0.250
K5 0.750 0.409 0.091
K6 0.909 0.250 0.591
Fe1 0.148 0.148 0.148
Fe2 0.352 0.352 0.352
Fe3 0.648 0.648 0.648
Fe4 0.852 0.852 0.852
F1 0.072 0.913 0.744
F2 0.087 0.256 0.928
F3 0.106 0.394 0.250
F4 0.244 0.413 0.572
F5 0.250 0.106 0.394
F6 0.256 0.928 0.087
F7 0.394 0.250 0.106
F8 0.413 0.572 0.244
F9 0.428 0.756 0.587
F10 0.572 0.244 0.413
F11 0.587 0.428 0.756
F12 0.606 0.750 0.894
F13 0.744 0.072 0.913
F14 0.750 0.894 0.606
F15 0.756 0.587 0.428
F16 0.894 0.606 0.750
F17 0.913 0.744 0.072
F18 0.928 0.087 0.256
```

Most intense lines, 15° ≤ 2θ ≤ 90°, in order of falling intensity:
2θ/deg  I_rel
39.79  100
17.20  72
30.02  60
52.40  37
26.96  28
62.40  27
25.51  21
41.90  17